For Li9Mn2Co5O16, a cell relaxed with GGA+U gives the computed powder diffraction line list in this record (Cu Kα X-rays).
Intensities are scaled so that the largest is 100.

Crystal structure
abc: 4.978 5.961 9.831
angles: 87.97 78.98 88.37
Space group P1 (No. 1)
Unique sites:
Li 0.000 0.000 0.000 [1 per cell]
Li 0.001 0.241 0.508 [1 per cell]
Li 0.009 0.492 0.000 [1 per cell]
Li 0.012 0.753 0.507 [1 per cell]
Li 0.500 0.756 0.998 [1 per cell]
Li 0.508 0.500 0.507 [1 per cell]
Li 0.511 0.992 0.508 [1 per cell]
Li 0.512 0.243 0.002 [1 per cell]
Li 0.757 0.997 0.753 [1 per cell]
Mn 0.754 0.500 0.755 [1 per cell]
Mn 0.757 0.746 0.253 [1 per cell]
Co 0.251 0.754 0.752 [1 per cell]
Co 0.255 0.494 0.254 [1 per cell]
Co 0.256 0.242 0.753 [1 per cell]
Co 0.258 0.999 0.254 [1 per cell]
Co 0.756 0.246 0.255 [1 per cell]
O 0.115 0.251 0.140 [1 per cell]
O 0.120 0.751 0.138 [1 per cell]
O 0.129 0.499 0.648 [1 per cell]
O 0.147 0.970 0.635 [1 per cell]
O 0.352 0.991 0.858 [1 per cell]
O 0.395 0.743 0.368 [1 per cell]
O 0.398 0.240 0.368 [1 per cell]
O 0.398 0.522 0.870 [1 per cell]
O 0.616 0.734 0.644 [1 per cell]
O 0.617 0.981 0.133 [1 per cell]
O 0.619 0.472 0.139 [1 per cell]
O 0.620 0.270 0.648 [1 per cell]
O 0.891 0.259 0.865 [1 per cell]
O 0.894 0.019 0.371 [1 per cell]
O 0.898 0.512 0.373 [1 per cell]
O 0.901 0.726 0.862 [1 per cell]

Most intense lines, 5° ≤ 2θ ≤ 70°, sorted by position:
- d = 4.823 Å, rel. 100
- d = 2.564 Å, rel. 18
- d = 2.480 Å, rel. 13
- d = 2.443 Å, rel. 12
- d = 2.409 Å, rel. 8
- d = 2.143 Å, rel. 31
- d = 2.056 Å, rel. 26
- d = 2.029 Å, rel. 25